# 1
Theoretical powder diffractogram of LiN2 for Cu Kα X-rays, from the PBE geometry in Alexandria.
No peak broadening, texture or thermal motion is included.

```
LiN2
1.0
2.9331 0.0000 0.0000
0.0000 8.0760 0.0000
-1.4660 0.0000 2.5495
Li N
2 4
direct
0.1694 0.0000 0.3331 Li
0.8306 0.5000 0.6669 Li
0.4979 0.1775 0.9989 N
0.4982 0.3224 0.9982 N
0.5021 0.6775 0.0011 N
0.5018 0.8224 0.0018 N
```

Largest 10 diffraction maxima, by intensity, 15° ≤ 2θ ≤ 90°:
2θ (°), Rel. int.
35.2, 100
42.0, 99
22.0, 50
35.3, 49
63.2, 19
63.4, 10
80.8, 9
37.0, 8
58.3, 7
79.0, 6

---

# 2
Theoretical powder diffractogram of Li4N for Cu Kα X-rays, from the PBE geometry in Alexandria.
No peak broadening, texture or thermal motion is included.

```
Li4N
1.0
0.0000 4.5360 4.5684
3.0986 0.0000 4.5684
3.0986 4.5360 0.0000
Li N
8 2
direct
0.1062 0.3390 0.3345 Li
0.2797 0.6655 0.6610 Li
0.3345 0.7203 0.1062 Li
0.3390 0.1062 0.7203 Li
0.6610 0.8938 0.2797 Li
0.6655 0.2797 0.8938 Li
0.7203 0.3345 0.3390 Li
0.8938 0.6610 0.6655 Li
0.3750 0.3750 0.3750 N
0.6250 0.6250 0.6250 N
```

Largest 10 diffraction maxima, by intensity, 15° ≤ 2θ ≤ 90°:
2θ (°), Rel. int.
19.9, 100
27.7, 36
44.7, 31
46.2, 21
53.8, 10
54.0, 9
57.2, 8
62.4, 8
35.0, 7
40.4, 6

---

# 3
Theoretical powder diffractogram of NaLi2N for Cu Kα X-rays, from the PBE geometry in Alexandria.
No peak broadening, texture or thermal motion is included.

```
NaLi2N
1.0
3.6581 0.0000 0.0000
-1.8291 3.1681 0.0000
0.0000 0.0000 4.7768
Na Li N
1 2 1
direct
0.0000 0.0000 0.0000 Na
0.3333 0.6667 0.5000 Li
0.6667 0.3333 0.5000 Li
0.0000 0.0000 0.5000 N
```

Largest 10 diffraction maxima, by intensity, 15° ≤ 2θ ≤ 90°:
2θ (°), Rel. int.
28.2, 100
47.7, 37
49.9, 36
64.1, 30
37.7, 30
34.0, 27
58.2, 9
71.5, 8
61.7, 6
80.2, 6

---

# 4
Theoretical powder diffractogram of Na2LiN for Cu Kα X-rays, from the PBE geometry in Alexandria.
No peak broadening, texture or thermal motion is included.

```
Na2LiN
1.0
4.4868 0.0000 0.0000
-2.2434 3.8857 0.0000
0.0000 0.0000 3.8704
Na Li N
2 1 1
direct
0.3333 0.6667 0.0000 Na
0.6667 0.3333 0.0000 Na
0.0000 0.0000 0.5000 Li
0.0000 0.0000 0.0000 N
```

Largest 10 diffraction maxima, by intensity, 15° ≤ 2θ ≤ 90°:
2θ (°), Rel. int.
23.0, 100
40.2, 85
46.8, 74
63.5, 36
47.0, 17
32.7, 17
77.8, 12
73.1, 11
87.2, 8
86.8, 6